Entry 1:
Theoretical powder X-ray diffraction pattern
Compound: Ba3Sr2As3ClO12
Radiation: Cu Kα, 1.54184 Å
Structure: a cell relaxed with PBE

The 10 most intense peaks (10° ≤ 2θ ≤ 80°), sorted by position:
two_theta  I_rel
23.1  21
25.7  17
28.3  100
28.7  59
29.2  38
41.4  22
44.0  31
44.7  18
56.6  17
67.6  13

a b c (Å): 10.5822 10.5822 7.6852
angles (deg): 90.00 90.00 120.00
Atoms (fractional coordinates):
Ba1 0.0108 0.7531 0.2500
Ba2 0.2469 0.2577 0.2500
Ba3 0.2577 0.0108 0.7500
Ba4 0.7423 0.9892 0.2500
Ba5 0.7531 0.7423 0.7500
Ba6 0.9892 0.2469 0.7500
Sr1 0.3333 0.6667 0.0001
Sr2 0.3333 0.6667 0.4999
Sr3 0.6667 0.3333 0.9999
Sr4 0.6667 0.3333 0.5001
As1 0.0336 0.6202 0.7500
As2 0.3798 0.4134 0.7500
As3 0.4134 0.0336 0.2500
As4 0.5866 0.9664 0.7500
As5 0.6202 0.5866 0.2500
As6 0.9664 0.3798 0.2500
Cl1 0.0000 0.0000 0.0000
Cl2 0.0000 0.0000 0.5000
O1 0.0882 0.7316 0.5705
O2 0.0882 0.7316 0.9295
O3 0.1362 0.5337 0.7500
O4 0.1518 0.5022 0.2500
O5 0.2684 0.3565 0.5705
O6 0.2684 0.3565 0.9295
O7 0.3504 0.8482 0.2500
O8 0.3565 0.0882 0.0705
O9 0.3565 0.0882 0.4295
O10 0.3976 0.8638 0.7500
O11 0.4663 0.6024 0.7500
O12 0.4978 0.6496 0.2500
O13 0.5022 0.3504 0.7500
O14 0.5337 0.3976 0.2500
O15 0.6024 0.1362 0.2500
O16 0.6435 0.9118 0.5705
O17 0.6435 0.9118 0.9295
O18 0.6496 0.1518 0.7500
O19 0.7316 0.6435 0.0705
O20 0.7316 0.6435 0.4295
O21 0.8482 0.4978 0.7500
O22 0.8638 0.4663 0.2500
O23 0.9118 0.2684 0.0705
O24 0.9118 0.2684 0.4295

Entry 2:
Theoretical powder X-ray diffraction pattern
Compound: Zr3V2Ni4
Radiation: Cu Kα, 1.54184 Å
Structure: a cell relaxed with PBE

The 10 most intense peaks (10° ≤ 2θ ≤ 80°), sorted by position:
two_theta  I_rel
35.2  100
36.5  43
41.4  51
41.5  44
41.7  93
41.7  50
41.9  47
42.2  45
42.2  41
42.4  76

a b c (Å): 4.9303 5.0119 12.4548
angles (deg): 89.35 88.77 61.77
Atoms (fractional coordinates):
Zr1 0.0058 0.4939 0.3737
Zr2 0.3259 0.8258 0.0428
Zr3 0.3441 0.8386 0.2881
Zr4 0.6559 0.1614 0.7119
Zr5 0.6741 0.1742 0.9572
Zr6 0.9942 0.5061 0.6263
V1 0.0000 0.0000 0.5000
V2 0.1677 0.6660 0.8339
V3 0.5000 0.0000 0.5000
V4 0.8323 0.3340 0.1661
Ni1 0.0000 0.5000 0.0000
Ni2 0.1700 0.1654 0.8340
Ni3 0.3308 0.3329 0.1641
Ni4 0.3324 0.8302 0.6680
Ni5 0.5000 0.5000 0.5000
Ni6 0.6676 0.1698 0.3320
Ni7 0.6692 0.6671 0.8359
Ni8 0.8300 0.8346 0.1660

Entry 3:
Theoretical powder X-ray diffraction pattern
Compound: U2CS
Radiation: Cu Kα, 1.54184 Å
Structure: a cell relaxed with PBE

The 10 most intense peaks (10° ≤ 2θ ≤ 80°), sorted by position:
two_theta  I_rel
28.9  29
29.7  100
34.2  98
37.3  12
48.6  29
49.7  37
58.5  27
59.0  16
61.7  18
68.5  11

a b c (Å): 6.5378 6.5378 6.5378
angles (deg): 32.60 32.60 32.60
Atoms (fractional coordinates):
U1 0.2384 0.2384 0.2384
U2 0.7616 0.7616 0.7616
C1 0.5000 0.5000 0.5000
S1 0.0000 0.0000 0.0000

Entry 4:
Theoretical powder X-ray diffraction pattern
Compound: OsN
Radiation: Cu Kα, 1.54184 Å
Structure: a cell relaxed with PBE

The 5 most intense peaks (10° ≤ 2θ ≤ 80°), sorted by position:
two_theta  I_rel
33.7  100
39.2  43
56.6  39
67.5  41
71.0  11

a b c (Å): 3.2533 3.2533 3.2533
angles (deg): 60.00 60.00 60.00
Atoms (fractional coordinates):
Os1 0.0000 0.0000 0.0000
N1 0.7500 0.7500 0.7500